(1)
Structure and theoretical XRD peak list of Rb2VI4Cl2 (a cell relaxed with GGA-PBE; Cu Kα (λ = 1.5418 Å)).

Principal peaks in the range 2θ from 5° to 70°, low angle first:
- 17.79 deg, intensity 28.1
- 27.21 deg, intensity 51.2
- 27.64 deg, intensity 40.5
- 28.25 deg, intensity 97.5
- 30.21 deg, intensity 100.0
- 36.03 deg, intensity 29.1
- 44.36 deg, intensity 18.7
- 47.44 deg, intensity 26.2
- 47.96 deg, intensity 20.8
- 52.82 deg, intensity 15.0

Structural model:
```
9
Lattice="6.5282 -4.0843 0.0000 6.5282 4.0843 0.0000 -0.9866 0.0000 6.5559" Properties=species:S:1:pos:R:3 pbc="T T T"
Rb 1.6687 0.0000 1.9029
Rb 10.4011 0.0000 4.6530
V 6.0349 0.0000 3.2779
I 4.9227 1.9709 1.6436
I 7.1470 1.9709 4.9122
I 4.9227 -1.9709 1.6436
I 7.1470 -1.9709 4.9122
Cl 4.1775 0.0000 4.5406
Cl 7.8922 0.0000 2.0152
```

(2)
Structure and theoretical XRD peak list of Cs2MgPaSe4 (a cell relaxed with GGA-PBE; Cu Kα (λ = 1.5418 Å)).

Principal peaks in the range 2θ from 5° to 70°, low angle first:
- 12.69 deg, intensity 12.6
- 13.98 deg, intensity 11.0
- 21.26 deg, intensity 9.9
- 28.20 deg, intensity 100.0
- 37.59 deg, intensity 21.2
- 38.11 deg, intensity 11.3
- 42.45 deg, intensity 12.4
- 42.86 deg, intensity 25.0
- 51.73 deg, intensity 12.4
- 69.68 deg, intensity 10.7

Structural model:
```
8
Lattice="7.2867 0.0000 0.0000 0.0000 4.2593 0.0000 -2.5335 0.0000 8.3587" Properties=species:S:1:pos:R:3 pbc="T T T"
Cs 0.0000 0.0000 0.0000
Cs 3.6434 2.1296 0.0000
Mg -1.2668 2.1296 4.1793
Pa 2.3766 0.0000 4.1793
Se -0.0811 0.0000 5.6486
Se 1.1936 2.1296 2.6103
Se 3.5596 2.1296 5.7483
Se 4.8343 0.0000 2.7101
```

(3)
Structure and theoretical XRD peak list of SrAl9Co2 (a cell relaxed with GGA-PBE; Cu Kα (λ = 1.5418 Å)).

Principal peaks in the range 2θ from 5° to 70°, low angle first:
- 22.51 deg, intensity 91.2
- 32.20 deg, intensity 100.0
- 34.83 deg, intensity 59.0
- 41.87 deg, intensity 21.3
- 45.96 deg, intensity 47.6
- 46.07 deg, intensity 62.6
- 46.39 deg, intensity 30.2
- 51.86 deg, intensity 42.5
- 67.10 deg, intensity 18.1
- 67.36 deg, intensity 29.1

Structural model:
```
12
Lattice="7.8992 0.0000 0.0000 -3.9496 6.8409 0.0000 0.0000 0.0000 3.9147" Properties=species:S:1:pos:R:3 pbc="T T T"
Sr 0.0000 0.0000 0.0000
Al -1.9748 3.4204 0.0000
Al 0.0000 2.9256 1.9573
Al -1.4160 5.3781 1.9573
Al 2.5336 1.4628 1.9573
Al 3.9496 0.0000 0.0000
Al 1.9748 3.4204 0.0000
Al 1.4160 5.3781 1.9573
Al 5.3655 1.4628 1.9573
Al 3.9496 3.9153 1.9573
Co 0.0000 4.5606 0.0000
Co 3.9496 2.2803 0.0000
```

(4)
Structure and theoretical XRD peak list of Tb4ThSc3Se8 (a cell relaxed with GGA-PBE; Cu Kα (λ = 1.5418 Å)).

Principal peaks in the range 2θ from 5° to 70°, low angle first:
- 13.43 deg, intensity 10.3
- 15.51 deg, intensity 6.0
- 25.86 deg, intensity 11.4
- 27.04 deg, intensity 9.1
- 31.32 deg, intensity 100.0
- 34.22 deg, intensity 8.1
- 44.89 deg, intensity 72.8
- 55.72 deg, intensity 19.0
- 55.86 deg, intensity 6.2
- 65.35 deg, intensity 11.6

Structural model:
```
16
Lattice="4.0421 2.3337 6.5837 -4.0421 2.3337 6.5837 0.0000 -4.6674 6.5837" Properties=species:S:1:pos:R:3 pbc="T T T"
Tb 0.0000 0.0000 0.0000
Tb -2.0211 -1.1669 6.5837
Tb -2.0210 1.1669 13.1675
Tb 0.0000 2.3337 6.5837
Th 0.0000 0.0000 9.8756
Sc -4.0421 0.0000 9.8756
Sc -2.0210 1.1669 3.2919
Sc 2.0211 1.1669 3.2919
Se -2.1000 -1.2124 11.4675
Se 0.0000 0.0000 4.8255
Se 0.0000 -2.4248 8.2837
Se -2.1000 1.2124 8.2837
Se 2.1000 -1.2124 11.4675
Se 0.0000 2.4248 11.4675
Se 0.0000 0.0000 14.9257
Se 2.1000 1.2124 8.2837
```

(5)
Structure and theoretical XRD peak list of La3Tb2Sm8 (a cell relaxed with GGA-PBE; Cu Kα (λ = 1.5418 Å)).

Principal peaks in the range 2θ from 5° to 70°, low angle first:
- 30.36 deg, intensity 100.0
- 30.70 deg, intensity 52.4
- 31.37 deg, intensity 16.3
- 31.46 deg, intensity 16.9
- 31.59 deg, intensity 25.0
- 32.48 deg, intensity 38.3
- 38.43 deg, intensity 16.0
- 54.37 deg, intensity 22.8
- 55.11 deg, intensity 12.1
- 57.90 deg, intensity 12.8

Structural model:
```
26
Lattice="5.8250 -6.4821 0.0000 5.8250 6.4821 0.0000 0.0000 0.0000 12.0409" Properties=species:S:1:pos:R:3 pbc="T T T"
La 0.0000 0.0000 0.0000
La 2.9125 1.4318 3.0102
La 2.9125 -1.4318 9.0307
La 5.8250 0.0000 6.0205
La 8.7375 1.4318 3.0102
La 8.7375 -1.4318 9.0307
Tb 5.8250 3.9321 10.1787
Tb 5.8250 2.5500 4.1582
Tb 5.8250 -2.5500 7.8827
Tb 5.8250 -3.9321 1.8622
Sm 5.8250 5.7335 3.3673
Sm 2.7998 1.8129 10.9929
Sm 3.0252 1.8129 7.0684
Sm 5.8250 4.2040 6.8618
Sm 5.8250 2.2782 0.8414
Sm 2.7998 -1.8129 1.0480
Sm 3.0252 -1.8129 4.9725
Sm 5.8250 0.7486 9.3877
Sm 5.8250 -0.7486 2.6532
Sm 8.6248 1.8129 7.0684
Sm 8.8502 1.8129 10.9929
Sm 5.8250 -2.2782 11.1995
Sm 5.8250 -4.2040 5.1791
Sm 8.6248 -1.8129 4.9725
Sm 8.8502 -1.8129 1.0480
Sm 5.8250 -5.7335 8.6736
```